This entry pairs a crystal structure of BeCrP with its calculated powder diffraction line list. Radiation: Cu Kα. Structure: a crystal structure in Alexandria, relaxed with GGA-PBE.

Structure:
```
BeCrP
1.0
0.000 3.784 3.838
2.143 0.000 3.838
2.143 3.784 0.000
Be Cr P
2 2 2
Cartesian
2.143 1.257 3.838
2.143 6.312 3.838
2.143 3.784 3.838
3.214 5.677 5.757
1.071 0.712 1.919
1.071 3.072 1.919
```

Largest 10 diffraction maxima, in order of falling intensity, 2θ from 10° to 90°:
- 2θ 43.25, I 100
- 2θ 48.66, I 65
- 2θ 26.57, I 61
- 2θ 55.46, I 45
- 2θ 33.25, I 39
- 2θ 47.37, I 35
- 2θ 23.18, I 21
- 2θ 75.87, I 17
- 2θ 42.86, I 16
- 2θ 77.84, I 16

---

This entry pairs a crystal structure of BeCrPd with its calculated powder diffraction line list. Radiation: Cu Kα. Structure: a crystal structure in Alexandria, relaxed with GGA-PBE.

Structure:
```
BeCrPd
1.0
2.872 0.000 0.000
0.000 2.882 0.000
-0.150 0.000 8.497
Be Cr Pd
2 2 2
Cartesian
0.649 0.721 1.978
2.073 2.162 6.519
0.645 0.721 7.934
2.077 2.162 0.563
0.640 0.721 5.273
2.082 2.162 3.224
```

Largest 10 diffraction maxima, in order of falling intensity, 2θ from 10° to 90°:
- 2θ 44.54, I 100
- 2θ 32.79, I 79
- 2θ 44.87, I 49
- 2θ 10.41, I 34
- 2θ 31.59, I 25
- 2θ 33.11, I 22
- 2θ 45.37, I 22
- 2θ 37.72, I 21
- 2θ 42.56, I 17
- 2θ 74.66, I 16

---

This entry pairs a crystal structure of BeCrPd with its calculated powder diffraction line list. Radiation: Cu Kα. Structure: a crystal structure in Alexandria, relaxed with GGA-PBE.

Structure:
```
BeCrPd
1.0
3.757 0.000 0.000
0.000 2.891 0.000
-1.875 0.000 6.384
Be Cr Pd
2 2 2
Cartesian
0.004 0.000 1.971
1.877 0.000 4.412
0.000 1.445 0.000
1.878 0.000 0.000
0.001 1.445 4.184
1.881 1.445 2.199
```

Largest 10 diffraction maxima, in order of falling intensity, 2θ from 10° to 90°:
- 2θ 44.94, I 100
- 2θ 31.77, I 50
- 2θ 42.48, I 29
- 2θ 30.93, I 27
- 2θ 24.70, I 20
- 2θ 48.47, I 20
- 2θ 79.46, I 16
- 2θ 88.05, I 16
- 2θ 66.39, I 14
- 2θ 34.05, I 14

---

This entry pairs a crystal structure of BeTlCrPd2 with its calculated powder diffraction line list. Radiation: Cu Kα. Structure: a crystal structure in Alexandria, relaxed with GGA-PBE.

Structure:
```
BeTlCrPd2
1.0
4.240 0.000 0.000
0.000 4.240 0.000
0.000 0.000 4.346
Be Tl Cr Pd
1 1 1 2
Cartesian
0.000 0.000 0.000
2.120 2.120 2.173
0.000 0.000 2.173
0.000 2.120 0.000
2.120 0.000 0.000
```

Largest 10 diffraction maxima, in order of falling intensity, 2θ from 10° to 90°:
- 2θ 36.41, I 100
- 2θ 42.65, I 34
- 2θ 73.99, I 24
- 2θ 61.07, I 23
- 2θ 29.43, I 18
- 2θ 41.56, I 18
- 2θ 20.95, I 17
- 2θ 72.45, I 13
- 2θ 77.33, I 11
- 2θ 61.90, I 11